(1)
# NaPbO3
Computed powder diffraction line list, copper Kα. Input: a cell relaxed with PBE.
Kinematic intensities with the Lorentz-polarization factor, no thermal factor.

Principal peaks in the range 10 to 90 degrees two-theta, sorted by position:
| 2θ (°) | I_rel |
| --- | --- |
| 20.64 | 100 |
| 29.35 | 99 |
| 36.15 | 15 |
| 41.98 | 32 |
| 47.22 | 47 |
| 52.05 | 42 |
| 60.88 | 21 |
| 65.01 | 23 |
| 69.00 | 19 |
| 84.17 | 23 |

Structural model:
```
5
Lattice="4.3039 0.0000 0.0000 0.0000 4.3039 0.0000 0.0000 0.0000 4.3039" Properties=species:S:1:pos:R:3 pbc="T T T"
Na 0.0000 0.0000 0.0000
Pb 2.1520 2.1520 2.1520
O 0.0000 2.1520 2.1520
O 2.1520 0.0000 2.1520
O 2.1520 2.1520 0.0000
```

=====

(2)
# U4Si3Mo
Computed powder diffraction line list, copper Kα. Input: a cell relaxed with PBE.
Kinematic intensities with the Lorentz-polarization factor, no thermal factor.

Principal peaks in the range 10 to 90 degrees two-theta, sorted by position:
| 2θ (°) | I_rel |
| --- | --- |
| 25.11 | 83 |
| 33.78 | 35 |
| 34.74 | 100 |
| 37.75 | 56 |
| 37.88 | 26 |
| 38.75 | 51 |
| 49.13 | 22 |
| 61.05 | 20 |
| 62.97 | 23 |
| 78.82 | 22 |

Structural model:
```
16
Lattice="-5.3288 5.3288 2.6533 5.3288 -5.3288 2.6533 5.3288 5.3288 -2.6533" Properties=species:S:1:pos:R:3 pbc="T T T"
U 8.1919 1.0329 0.0000
U 1.0329 2.4657 0.0000
U 6.3617 2.8631 0.0000
U 2.8631 4.2959 0.0000
U 2.4657 1.0329 2.6533
U -1.0329 2.4657 2.6533
U 4.2959 2.8631 2.6533
U -2.8631 4.2959 2.6533
Si 3.7636 1.5652 0.0000
Si 0.0000 0.0000 1.3267
Si 3.7636 -1.5652 2.6533
Si 1.5652 6.8940 0.0000
Si 0.0000 0.0000 3.9800
Si 1.5652 3.7636 2.6533
Mo 5.3288 0.0000 1.3267
Mo 0.0000 5.3288 1.3267
```

=====

(3)
# DyAu2
Computed powder diffraction line list, copper Kα. Input: a cell relaxed with PBE.
Kinematic intensities with the Lorentz-polarization factor, no thermal factor.

Principal peaks in the range 10 to 90 degrees two-theta, sorted by position:
| 2θ (°) | I_rel |
| --- | --- |
| 33.75 | 70 |
| 38.20 | 100 |
| 48.48 | 26 |
| 61.30 | 6 |
| 63.34 | 46 |
| 70.98 | 8 |
| 71.83 | 16 |
| 80.95 | 12 |
| 81.77 | 12 |
| 83.59 | 11 |

Structural model:
```
3
Lattice="-1.8779 1.8779 4.5370 1.8779 -1.8779 4.5370 1.8779 1.8779 -4.5370" Properties=species:S:1:pos:R:3 pbc="T T T"
Dy 0.0000 0.0000 0.0000
Au 0.0000 0.0000 3.0435
Au 0.0000 0.0000 6.0304
```